Entry 1:
# Y3Cu11Si4
Theoretical powder XRD pattern, Cu Kα, 1.54184 Å. Input: DFT lattice parameters and positions (GGA-PBE).

Structural model:
Cell lengths 8.438, 8.438, 8.609 Å; angles 90.00, 90.00, 120.00 degrees
Fractional coordinates of all 36 atoms:
Y1 0.199 0.398 0.250
Y2 0.199 0.801 0.250
Y3 0.398 0.199 0.750
Y4 0.602 0.801 0.250
Y5 0.801 0.199 0.750
Y6 0.801 0.602 0.750
Cu1 0.130 0.565 0.750
Cu2 0.149 0.299 0.592
Cu3 0.149 0.299 0.908
Cu4 0.149 0.851 0.592
Cu5 0.149 0.851 0.908
Cu6 0.299 0.149 0.092
Cu7 0.299 0.149 0.408
Cu8 0.333 0.667 0.513
Cu9 0.333 0.667 0.987
Cu10 0.435 0.565 0.750
Cu11 0.435 0.870 0.750
Cu12 0.565 0.130 0.250
Cu13 0.565 0.435 0.250
Cu14 0.667 0.333 0.013
Cu15 0.667 0.333 0.487
Cu16 0.701 0.851 0.592
Cu17 0.701 0.851 0.908
Cu18 0.851 0.149 0.092
Cu19 0.851 0.149 0.408
Cu20 0.851 0.701 0.092
Cu21 0.851 0.701 0.408
Cu22 0.870 0.435 0.250
Si1 0.000 0.000 0.250
Si2 0.000 0.000 0.750
Si3 0.000 0.500 0.000
Si4 0.000 0.500 0.500
Si5 0.500 0.000 0.000
Si6 0.500 0.000 0.500
Si7 0.500 0.500 0.000
Si8 0.500 0.500 0.500

Principal peaks in the range 10° ≤ 2θ ≤ 80°, low angle first:
2θ = 24.36°, intensity 20
2θ = 38.41°, intensity 81
2θ = 38.74°, intensity 46
2θ = 39.95°, intensity 100
2θ = 42.65°, intensity 16
2θ = 42.87°, intensity 74
2θ = 43.85°, intensity 15
2θ = 45.59°, intensity 42
2θ = 67.71°, intensity 15
2θ = 71.31°, intensity 20

***

Entry 2:
# Zr3Cu4Si4
Theoretical powder XRD pattern, Cu Kα, 1.54184 Å. Input: DFT lattice parameters and positions (GGA-PBE).

Structural model:
Cell lengths 7.569, 7.569, 7.569 Å; angles 149.78, 129.85, 59.68 degrees
Fractional coordinates of all 11 atoms:
Zr1 0.000 0.000 0.000
Zr2 0.376 0.876 0.500
Zr3 0.624 0.124 0.500
Cu1 0.022 0.330 0.692
Cu2 0.362 0.670 0.692
Cu3 0.638 0.330 0.308
Cu4 0.978 0.670 0.308
Si1 0.216 0.216 0.000
Si2 0.309 0.500 0.809
Si3 0.691 0.500 0.191
Si4 0.784 0.784 0.000

Principal peaks in the range 10° ≤ 2θ ≤ 80°, low angle first:
2θ = 29.86°, intensity 15
2θ = 36.75°, intensity 100
2θ = 36.98°, intensity 34
2θ = 38.33°, intensity 89
2θ = 41.26°, intensity 31
2θ = 41.74°, intensity 27
2θ = 46.00°, intensity 40
2θ = 47.30°, intensity 39
2θ = 50.50°, intensity 17
2θ = 68.12°, intensity 25

***

Entry 3:
# Zr3Cu4Si6
Theoretical powder XRD pattern, Cu Kα, 1.54184 Å. Input: DFT lattice parameters and positions (GGA-PBE).

Structural model:
Cell lengths 14.400, 14.400, 14.400 Å; angles 165.09, 165.09, 21.15 degrees
Fractional coordinates of all 13 atoms:
Zr1 0.000 0.000 0.000
Zr2 0.325 0.325 0.000
Zr3 0.675 0.675 0.000
Cu1 0.090 0.590 0.500
Cu2 0.410 0.910 0.500
Cu3 0.590 0.090 0.500
Cu4 0.910 0.410 0.500
Si1 0.146 0.146 0.000
Si2 0.250 0.750 0.500
Si3 0.459 0.459 0.000
Si4 0.541 0.541 0.000
Si5 0.750 0.250 0.500
Si6 0.854 0.854 0.000

Principal peaks in the range 10° ≤ 2θ ≤ 80°, low angle first:
2θ = 12.51°, intensity 10
2θ = 25.63°, intensity 25
2θ = 37.36°, intensity 21
2θ = 38.14°, intensity 16
2θ = 39.06°, intensity 100
2θ = 48.72°, intensity 34
2θ = 54.46°, intensity 8
2θ = 62.97°, intensity 9
2θ = 63.50°, intensity 13
2θ = 71.37°, intensity 10

***

Entry 4:
# Zr2CuSi4
Theoretical powder XRD pattern, Cu Kα, 1.54184 Å. Input: DFT lattice parameters and positions (GGA-PBE).

Structural model:
Cell lengths 16.627, 16.627, 3.683 Å; angles 90.00, 90.00, 167.20 degrees
Fractional coordinates of all 14 atoms:
Zr1 0.047 0.953 0.750
Zr2 0.324 0.676 0.750
Zr3 0.676 0.324 0.250
Zr4 0.953 0.047 0.250
Cu1 0.250 0.750 0.250
Cu2 0.750 0.250 0.750
Si1 0.112 0.888 0.250
Si2 0.203 0.797 0.750
Si3 0.388 0.612 0.250
Si4 0.476 0.524 0.750
Si5 0.524 0.476 0.250
Si6 0.612 0.388 0.750
Si7 0.797 0.203 0.250
Si8 0.888 0.112 0.750

Principal peaks in the range 10° ≤ 2θ ≤ 80°, low angle first:
2θ = 10.71°, intensity 16
2θ = 25.35°, intensity 15
2θ = 26.50°, intensity 22
2θ = 30.66°, intensity 8
2θ = 38.13°, intensity 17
2θ = 38.57°, intensity 14
2θ = 39.42°, intensity 100
2θ = 49.15°, intensity 15
2θ = 49.50°, intensity 15
2θ = 72.33°, intensity 9

***

Entry 5:
# SmCu2
Theoretical powder XRD pattern, Cu Kα, 1.54184 Å. Input: DFT lattice parameters and positions (GGA-PBE).

Structural model:
Cell lengths 5.550, 5.550, 5.550 Å; angles 133.69, 100.97, 96.83 degrees
Fractional coordinates of all 6 atoms:
Sm1 0.288 0.038 0.250
Sm2 0.712 0.962 0.750
Cu1 0.115 0.665 0.450
Cu2 0.284 0.335 0.950
Cu3 0.716 0.665 0.050
Cu4 0.885 0.335 0.550

Principal peaks in the range 10° ≤ 2θ ≤ 80°, low angle first:
2θ = 23.69°, intensity 18
2θ = 34.29°, intensity 29
2θ = 34.87°, intensity 100
2θ = 35.20°, intensity 42
2θ = 40.21°, intensity 14
2θ = 41.37°, intensity 31
2θ = 42.22°, intensity 45
2θ = 55.42°, intensity 22
2θ = 68.11°, intensity 16
2θ = 71.26°, intensity 12

***

Entry 6:
# SmCu5
Theoretical powder XRD pattern, Cu Kα, 1.54184 Å. Input: DFT lattice parameters and positions (GGA-PBE).

Structural model:
Cell lengths 5.080, 5.080, 4.093 Å; angles 90.00, 90.00, 120.00 degrees
Fractional coordinates of all 6 atoms:
Sm1 0.000 0.000 0.000
Cu1 0.000 0.500 0.500
Cu2 0.333 0.667 0.000
Cu3 0.500 0.000 0.500
Cu4 0.500 0.500 0.500
Cu5 0.667 0.333 0.000

Principal peaks in the range 10° ≤ 2θ ≤ 80°, low angle first:
2θ = 29.82°, intensity 44
2θ = 35.34°, intensity 30
2θ = 41.03°, intensity 34
2θ = 41.86°, intensity 100
2θ = 44.26°, intensity 27
2θ = 57.87°, intensity 14
2θ = 61.93°, intensity 20
2θ = 67.90°, intensity 22
2θ = 74.75°, intensity 16
2θ = 79.80°, intensity 14

***

Entry 7:
# SmCu
Theoretical powder XRD pattern, Cu Kα, 1.54184 Å. Input: DFT lattice parameters and positions (GGA-PBE).

Structural model:
Cell lengths 7.224, 4.517, 5.474 Å; angles 90.00, 90.00, 90.00 degrees
Fractional coordinates of all 8 atoms:
Sm1 0.180 0.250 0.130
Sm2 0.320 0.750 0.630
Sm3 0.680 0.250 0.370
Sm4 0.820 0.750 0.870
Cu1 0.033 0.250 0.620
Cu2 0.467 0.750 0.120
Cu3 0.533 0.250 0.880
Cu4 0.967 0.750 0.380

Principal peaks in the range 10° ≤ 2θ ≤ 80°, low angle first:
2θ = 25.57°, intensity 32
2θ = 28.44°, intensity 87
2θ = 31.72°, intensity 100
2θ = 35.06°, intensity 83
2θ = 35.81°, intensity 90
2θ = 39.92°, intensity 62
2θ = 40.51°, intensity 86
2θ = 40.94°, intensity 47
2θ = 54.16°, intensity 50
2θ = 58.51°, intensity 32

***

Entry 8:
# SmCu6
Theoretical powder XRD pattern, Cu Kα, 1.54184 Å. Input: DFT lattice parameters and positions (GGA-PBE).

Structural model:
Cell lengths 8.058, 5.030, 10.104 Å; angles 90.00, 90.00, 90.00 degrees
Fractional coordinates of all 28 atoms:
Sm1 0.240 0.250 0.064
Sm2 0.260 0.750 0.564
Sm3 0.740 0.250 0.436
Sm4 0.760 0.750 0.936
Cu1 0.062 0.750 0.096
Cu2 0.065 0.006 0.309
Cu3 0.065 0.494 0.309
Cu4 0.099 0.250 0.517
Cu5 0.146 0.750 0.858
Cu6 0.184 0.250 0.756
Cu7 0.316 0.750 0.256
Cu8 0.354 0.250 0.358
Cu9 0.401 0.750 0.017
Cu10 0.435 0.506 0.809
Cu11 0.435 0.994 0.809
Cu12 0.438 0.250 0.596
Cu13 0.562 0.750 0.404
Cu14 0.565 0.006 0.191
Cu15 0.565 0.494 0.191
Cu16 0.599 0.250 0.983
Cu17 0.646 0.750 0.642
Cu18 0.684 0.250 0.744
Cu19 0.816 0.750 0.244
Cu20 0.854 0.250 0.142
Cu21 0.901 0.750 0.483
Cu22 0.935 0.506 0.691
Cu23 0.935 0.994 0.691
Cu24 0.938 0.250 0.904

Principal peaks in the range 10° ≤ 2θ ≤ 80°, low angle first:
2θ = 35.70°, intensity 36
2θ = 37.31°, intensity 56
2θ = 39.05°, intensity 100
2θ = 39.19°, intensity 84
2θ = 40.04°, intensity 29
2θ = 42.36°, intensity 30
2θ = 43.34°, intensity 28
2θ = 46.10°, intensity 38
2θ = 46.45°, intensity 39
2θ = 66.42°, intensity 35

***

Entry 9:
# SmCu
Theoretical powder XRD pattern, Cu Kα, 1.54184 Å. Input: DFT lattice parameters and positions (GGA-PBE).

Structural model:
Cell lengths 3.543, 3.543, 3.543 Å; angles 90.00, 90.00, 90.00 degrees
Fractional coordinates of all 2 atoms:
Sm1 0.000 0.000 0.000
Cu1 0.500 0.500 0.500

Principal peaks in the range 10° ≤ 2θ ≤ 80°, low angle first:
2θ = 25.13°, intensity 17
2θ = 35.84°, intensity 100
2θ = 44.28°, intensity 5
2θ = 51.59°, intensity 17
2θ = 58.22°, intensity 7
2θ = 64.41°, intensity 35
2θ = 75.96°, intensity 11

***

Entry 10:
# Sm3Cu4Sn4
Theoretical powder XRD pattern, Cu Kα, 1.54184 Å. Input: DFT lattice parameters and positions (GGA-PBE).

Structural model:
Cell lengths 8.487, 8.487, 8.487 Å; angles 149.08, 131.74, 58.42 degrees
Fractional coordinates of all 11 atoms:
Sm1 0.000 0.000 0.000
Sm2 0.368 0.868 0.500
Sm3 0.632 0.132 0.500
Cu1 0.018 0.331 0.687
Cu2 0.357 0.669 0.687
Cu3 0.643 0.331 0.313
Cu4 0.982 0.669 0.313
Sn1 0.216 0.216 0.000
Sn2 0.298 0.500 0.798
Sn3 0.702 0.500 0.202
Sn4 0.784 0.784 0.000

Principal peaks in the range 10° ≤ 2θ ≤ 80°, low angle first:
2θ = 32.87°, intensity 27
2θ = 33.09°, intensity 99
2θ = 33.84°, intensity 100
2θ = 36.38°, intensity 18
2θ = 39.85°, intensity 45
2θ = 43.19°, intensity 23
2θ = 44.94°, intensity 24
2θ = 60.19°, intensity 21
2θ = 68.10°, intensity 27
2θ = 76.23°, intensity 17

***

Entry 11:
# Sm2Cu4Sn5
Theoretical powder XRD pattern, Cu Kα, 1.54184 Å. Input: DFT lattice parameters and positions (GGA-PBE).

Structural model:
Cell lengths 12.901, 12.901, 12.901 Å; angles 160.25, 160.25, 28.07 degrees
Fractional coordinates of all 11 atoms:
Sm1 0.000 0.000 0.000
Sm2 0.320 0.320 0.000
Cu1 0.408 0.908 0.500
Cu2 0.772 0.772 0.000
Cu3 0.866 0.866 0.000
Cu4 0.908 0.408 0.500
Sn1 0.097 0.597 0.500
Sn2 0.213 0.713 0.500
Sn3 0.467 0.467 0.000
Sn4 0.597 0.097 0.500
Sn5 0.713 0.213 0.500

Principal peaks in the range 10° ≤ 2θ ≤ 80°, low angle first:
2θ = 29.43°, intensity 59
2θ = 31.98°, intensity 34
2θ = 32.19°, intensity 27
2θ = 35.88°, intensity 100
2θ = 38.22°, intensity 18
2θ = 40.79°, intensity 79
2θ = 46.46°, intensity 20
2θ = 59.05°, intensity 26
2θ = 66.87°, intensity 19
2θ = 71.07°, intensity 32

***

Entry 12:
# Sm4CuSn8
Theoretical powder XRD pattern, Cu Kα, 1.54184 Å. Input: DFT lattice parameters and positions (GGA-PBE).

Structural model:
Cell lengths 4.428, 4.468, 17.435 Å; angles 90.00, 90.00, 90.00 degrees
Fractional coordinates of all 13 atoms:
Sm1 0.000 0.000 0.000
Sm2 0.000 0.500 0.490
Sm3 0.500 0.000 0.790
Sm4 0.500 0.500 0.291
Cu1 0.000 0.500 0.713
Sn1 0.000 0.000 0.331
Sn2 0.000 0.000 0.630
Sn3 0.000 0.500 0.142
Sn4 0.000 0.500 0.857
Sn5 0.500 0.000 0.149
Sn6 0.500 0.000 0.447
Sn7 0.500 0.500 0.630
Sn8 0.500 0.500 0.969

Principal peaks in the range 10° ≤ 2θ ≤ 80°, low angle first:
2θ = 30.77°, intensity 16
2θ = 32.36°, intensity 100
2θ = 32.57°, intensity 8
2θ = 37.00°, intensity 10
2θ = 40.37°, intensity 18
2θ = 40.75°, intensity 18
2θ = 51.60°, intensity 8
2θ = 58.71°, intensity 12
2θ = 68.38°, intensity 12
2θ = 68.92°, intensity 12

***

Entry 13:
# SmCu2Sn2
Theoretical powder XRD pattern, Cu Kα, 1.54184 Å. Input: DFT lattice parameters and positions (GGA-PBE).

Structural model:
Cell lengths 4.463, 4.463, 10.533 Å; angles 90.00, 90.00, 90.00 degrees
Fractional coordinates of all 10 atoms:
Sm1 0.250 0.250 0.238
Sm2 0.750 0.750 0.762
Cu1 0.250 0.250 0.634
Cu2 0.250 0.750 0.000
Cu3 0.750 0.250 0.000
Cu4 0.750 0.750 0.366
Sn1 0.250 0.250 0.872
Sn2 0.250 0.750 0.500
Sn3 0.750 0.250 0.500
Sn4 0.750 0.750 0.128

Principal peaks in the range 10° ≤ 2θ ≤ 80°, low angle first:
2θ = 28.28°, intensity 14
2θ = 32.45°, intensity 61
2θ = 33.09°, intensity 100
2θ = 40.42°, intensity 66
2θ = 44.83°, intensity 20
2θ = 47.74°, intensity 25
2θ = 52.76°, intensity 31
2θ = 58.50°, intensity 22
2θ = 64.29°, intensity 20
2θ = 68.88°, intensity 24